This entry pairs a crystal structure of O with its theoretical XRD peak list. Radiation: Cu Kα X-rays. Structure: a crystal structure in the Materials Project, relaxed with GGA-PBE.

The 10 most intense peaks (2θ from 10° to 80°), low angle first:
- 2θ = 23.5°, 3.789 Å, rel. 37.5
- 2θ = 24.1°, 3.688 Å, rel. 73.0
- 2θ = 38.7°, 2.329 Å, rel. 100.0
- 2θ = 40.2°, 2.241 Å, rel. 69.9
- 2θ = 48.0°, 1.895 Å, rel. 18.0
- 2θ = 49.4°, 1.844 Å, rel. 7.0
- 2θ = 57.8°, 1.595 Å, rel. 10.1
- 2θ = 59.0°, 1.566 Å, rel. 7.5
- 2θ = 59.5°, 1.553 Å, rel. 12.6
- 2θ = 73.0°, 1.296 Å, rel. 6.7

Atomic structure:
Unit cell a=3.892 b=3.789 c=3.117 alpha=90.00 beta=108.65 gamma=90.00
Fractional positions:
O 0.167 0.194 0.319
O 0.167 0.806 0.819
O 0.833 0.194 0.181
O 0.833 0.806 0.681